For NdEr6Ni2, a crystal structure in Alexandria, relaxed with PBE gives the theoretical X-ray diffraction stick pattern in this record (Cu Ka).
No peak broadening, texture or thermal motion is included.

Peak list (10 most intense, 5° ≤ 2θ ≤ 70°, in order of falling intensity)
| 2θ/deg | d/Å | I (rel.) |
| --- | --- | --- |
| 31.75 | 2.819 | 100 |
| 34.17 | 2.624 | 42 |
| 33.27 | 2.693 | 39 |
| 35.32 | 2.541 | 32 |
| 39.66 | 2.272 | 23 |
| 30.80 | 2.903 | 22 |
| 27.75 | 3.215 | 22 |
| 54.34 | 1.688 | 21 |
| 35.61 | 2.521 | 19 |
| 57.55 | 1.601 | 19 |

Structural model:
a = 8.5033 Å, b = 8.5033 Å, c = 8.5033 Å
α = 115.40°, β = 106.65°, γ = 106.54°
Positions (direct):
Nd: 0.0000 0.0000 0.0000
Nd: 0.5000 0.0000 0.5000
Er: 0.9998 0.2224 0.7774
Er: 0.0002 0.7776 0.2226
Er: 0.1926 0.4963 0.3038
Er: 0.1926 0.8888 0.6962
Er: 0.3100 0.3029 0.6129
Er: 0.3100 0.6971 0.0071
Er: 0.4450 0.2224 0.2226
Er: 0.5550 0.7776 0.7774
Er: 0.6900 0.3029 0.9929
Er: 0.6900 0.6971 0.3871
Er: 0.8074 0.1112 0.3038
Er: 0.8074 0.5037 0.6962
Ni: 0.1193 0.5000 0.6193
Ni: 0.3739 0.3739 0.0000
Ni: 0.6261 0.6261 0.0000
Ni: 0.8807 0.5000 0.3807